(1)
This entry pairs a crystal structure of Mn3Br7Cl with its calculated X-ray powder pattern. Radiation: λ = 1.5418 Å (Cu Kα). Structure: a cell relaxed with PBE.

Main lines, by intensity (10 to 90 degrees two-theta):
- 2θ 30.51, d = 2.930 Å, intensity 100, hkl 0 2 1
- 2θ 38.39, d = 2.345 Å, intensity 48, hkl 0 2 2
- 2θ 13.07, d = 6.774 Å, intensity 48, hkl 0 0 1
- 2θ 48.52, d = 1.876 Å, intensity 28, hkl 2 2 0
- 2θ 49.13, d = 1.854 Å, intensity 26, hkl 2 0 3
- 2θ 58.40, d = 1.580 Å, intensity 14, hkl 4 0 1
- 2θ 26.31, d = 3.387 Å, intensity 12, hkl 0 0 2
- 2θ 79.26, d = 1.209 Å, intensity 11, hkl 2 4 1
- 2θ 63.50, d = 1.465 Å, intensity 10, hkl 4 0 2
- 2θ 56.04, d = 1.641 Å, intensity 10, hkl 2 2 2

```
data_Mn3Br7Cl
_chemical_formula_sum 'Mn3 Br7 Cl1'
_cell_length_a 7.5052
_cell_length_b 7.5052
_cell_length_c 6.7744
_cell_angle_alpha 90.00
_cell_angle_beta 90.00
_cell_angle_gamma 120.00
_symmetry_space_group_name_H-M 'P 3 m 1'
_symmetry_Int_Tables_number 156
loop_
_symmetry_equiv_pos_as_xyz
'x,y,z'
'-y,x-y,z'
'-x+y,-x,z'
'-y,-x,z'
'-x+y,y,z'
'x,x-y,z'
loop_
_atom_site_label
_atom_site_type_symbol
_atom_site_fract_x
_atom_site_fract_y
_atom_site_fract_z
_atom_site_occupancy
Mn1 Mn 0.0026 0.5013 0.0000 1
Br1 Br 0.1740 0.3479 0.2092 1
Br2 Br 0.3481 0.1740 0.7939 1
Br3 Br 0.6667 0.3333 0.2437 1
Cl1 Cl 0.3333 0.6667 0.7853 1
```

=====

(2)
This entry pairs a crystal structure of Ho2Tm3Sb2 with its calculated X-ray powder pattern. Radiation: λ = 1.5418 Å (Cu Kα). Structure: a cell relaxed with PBE.

Main lines, by intensity (10 to 90 degrees two-theta):
- 2θ 31.10, d = 2.876 Å, intensity 100, hkl 3 1 -1
- 2θ 33.74, d = 2.656 Å, intensity 82, hkl 1 1 2
- 2θ 31.80, d = 2.814 Å, intensity 44, hkl 4 0 0
- 2θ 32.46, d = 2.759 Å, intensity 39, hkl 2 0 -3
- 2θ 42.72, d = 2.116 Å, intensity 34, hkl 0 2 0
- 2θ 30.03, d = 2.976 Å, intensity 32, hkl 1 1 -2
- 2θ 34.39, d = 2.608 Å, intensity 24, hkl 3 1 -2
- 2θ 54.67, d = 1.679 Å, intensity 22, hkl 2 2 -3
- 2θ 58.87, d = 1.569 Å, intensity 18, hkl 4 2 -3
- 2θ 59.65, d = 1.550 Å, intensity 18, hkl 3 1 -5

```
data_Ho2Tm3Sb2
_chemical_formula_sum 'Ho4 Tm6 Sb4'
_cell_length_a 11.9071
_cell_length_b 4.2330
_cell_length_c 8.3748
_cell_angle_alpha 90.00
_cell_angle_beta 108.79
_cell_angle_gamma 90.00
_symmetry_space_group_name_H-M 'C 1 2/m 1'
_symmetry_Int_Tables_number 12
loop_
_symmetry_equiv_pos_as_xyz
'x,y,z'
'-x,-y,-z'
'-x,y,-z'
'x,-y,z'
'x+1/2,y+1/2,z'
'-x+1/2,-y+1/2,-z'
'-x+1/2,y+1/2,-z'
'x+1/2,-y+1/2,z'
loop_
_atom_site_label
_atom_site_type_symbol
_atom_site_fract_x
_atom_site_fract_y
_atom_site_fract_z
_atom_site_occupancy
Ho1 Ho 0.1288 0.0000 0.2796 1
Tm1 Tm 0.0000 0.5000 0.5000 1
Tm2 Tm 0.1259 0.5000 0.9449 1
Sb1 Sb 0.1739 0.0000 0.6919 1
```